Theoretical powder XRD pattern of TbCeTl6 for CuKα, from the PBE geometry in Alexandria.
Intensities are scaled so that the largest is 100.

Cell and atoms:
a b c (Å): 4.803 4.803 9.594
angles (deg): 90.00 90.00 90.00
Space group P4/mmm (No. 123)
One atom of each set of equivalent atoms:
Tb: 0.000 0.000 0.000
Ce: 0.000 0.000 0.500
Tl: 0.000 0.500 0.248
Tl: 0.500 0.500 0.000
Tl: 0.500 0.500 0.500

Most intense lines, 10 to 90 degrees two-theta, most intense first:
2θ/deg, I_rel, index
32.29, 100.0, 1 1 2
37.46, 50.5, 2 0 0
64.35, 42.3, 3 1 2
54.02, 35.7, 2 2 0
88.84, 18.5, 3 3 2
67.59, 12.2, 2 2 4
79.88, 3.9, 4 0 0
80.01, 1.9, 0 0 8
18.48, 1.3, 1 0 0
26.25, 1.1, 1 1 0

***

Theoretical powder XRD pattern of Tb2CeTl4 for CuKα, from the PBE geometry in Alexandria.
Intensities are scaled so that the largest is 100.

Cell and atoms:
a b c (Å): 5.278 5.278 7.703
angles (deg): 90.00 90.00 90.00
Space group P4/mmm (No. 123)
One atom of each set of equivalent atoms:
Tb: 0.000 0.000 0.000
Tb: 0.500 0.500 0.500
Ce: 0.000 0.000 0.500
Tl: 0.000 0.500 0.228

Most intense lines, 10 to 90 degrees two-theta, most intense first:
2θ/deg, I_rel, index
33.43, 100.0, 1 1 2
33.97, 50.3, 2 0 0
60.46, 37.1, 3 1 2
48.81, 18.4, 2 2 0
59.42, 16.9, 2 0 4
70.24, 10.3, 2 2 4
23.84, 9.0, 1 1 0
81.58, 8.4, 4 2 0
47.20, 8.3, 0 0 4
81.27, 8.1, 3 3 2